Computed PXRD pattern
Compound: TlSe
Radiation: a wavelength of 1.5418 Å
Structure: DFT lattice parameters and positions (GGA-PBE)
Kinematic intensities with the Lorentz-polarization factor, no thermal factor.

Crystal structure
```
data_TlSe
_chemical_formula_sum 'Tl6 Se6'
_space_group_name_H-M_alt 'P m -3 n'
_space_group_IT_number 223
_space_group_name_Hall '-P 4n 2 3'
_cell_length_a 8.2849
_cell_length_b 8.2849
_cell_length_c 8.2849
_cell_angle_alpha 90.00
_cell_angle_beta 90.00
_cell_angle_gamma 90.00
loop_
_atom_site_label
_atom_site_fract_x
_atom_site_fract_y
_atom_site_fract_z
Tl1 0.0000 0.2500 0.5000
Se1 0.0000 0.5000 0.2500
```

Most intense lines, 5 to 70 degrees two-theta, low angle first:
d_spacing, Rel. int.
5.858, 100
4.142, 22
3.705, 48
3.382, 54
2.620, 28
2.392, 64
2.214, 34
2.071, 32
1.625, 20
1.465, 21